# CsH3S2O8
Computed X-ray diffraction stick pattern, copper Kα. Input: DFT lattice parameters and positions (PBE).

Crystal structure
```
data_CsH3S2O8
_space_group_name_H-M_alt 'P 1'
_space_group_IT_number 1
_space_group_name_Hall 'P 1'
_cell_length_a 7.894
_cell_length_b 13.001
_cell_length_c 8.331
_cell_angle_alpha 90.00
_cell_angle_beta 90.35
_cell_angle_gamma 90.00
loop_
_atom_site_label
_atom_site_fract_x
_atom_site_fract_y
_atom_site_fract_z
Cs1 0.216 0.068 0.164
Cs2 0.216 0.432 0.664
Cs3 0.784 0.568 0.336
Cs4 0.784 0.932 0.836
H1 0.131 0.747 0.613
H2 0.131 0.753 0.113
H3 0.330 0.547 0.123
H4 0.330 0.953 0.623
H5 0.492 0.659 0.771
H6 0.492 0.841 0.271
H7 0.508 0.159 0.729
H8 0.508 0.341 0.229
H9 0.670 0.047 0.377
H10 0.670 0.453 0.877
H11 0.869 0.247 0.887
H12 0.869 0.253 0.387
S1 0.247 0.107 0.671
S2 0.247 0.393 0.171
S3 0.262 0.700 0.327
S4 0.262 0.800 0.827
S5 0.738 0.200 0.173
S6 0.738 0.300 0.673
S7 0.753 0.607 0.829
S8 0.753 0.893 0.329
O1 0.106 0.706 0.208
O2 0.106 0.794 0.708
O3 0.113 0.074 0.776
O4 0.113 0.426 0.276
O5 0.184 0.664 0.477
O6 0.184 0.836 0.977
O7 0.221 0.194 0.566
O8 0.221 0.306 0.066
O9 0.301 0.017 0.556
O10 0.301 0.483 0.056
O11 0.335 0.696 0.843
O12 0.335 0.804 0.343
O13 0.384 0.627 0.260
O14 0.384 0.873 0.760
O15 0.403 0.124 0.785
O16 0.403 0.376 0.285
O17 0.597 0.624 0.715
O18 0.597 0.876 0.215
O19 0.616 0.127 0.240
O20 0.616 0.373 0.740
O21 0.665 0.196 0.657
O22 0.665 0.304 0.157
O23 0.699 0.517 0.944
O24 0.699 0.983 0.444
O25 0.779 0.694 0.934
O26 0.779 0.806 0.434
O27 0.816 0.164 0.023
O28 0.816 0.336 0.523
O29 0.887 0.574 0.724
O30 0.887 0.926 0.224
O31 0.894 0.206 0.292
O32 0.894 0.294 0.792
```

Largest 10 diffraction maxima, most intense first, 2θ = 10–80°:
d [Å]	2θ/deg	Rel. int.	hkl
3.799	23.42	100	1 3 0
3.947	22.53	72	2 0 0
2.808	31.86	38	1 3 -2
3.967	22.41	35	0 1 2
4.166	21.33	29	0 0 2
3.199	27.89	28	1 2 2
2.469	36.39	28	3 1 -1
3.457	25.77	28	1 3 -1
2.790	32.08	21	2 1 2
2.827	31.65	18	1 4 -1



# CsHS2O7
Computed X-ray diffraction stick pattern, copper Kα. Input: DFT lattice parameters and positions (PBE).

Crystal structure
```
data_CsHS2O7
_space_group_name_H-M_alt 'P 1'
_space_group_IT_number 1
_space_group_name_Hall 'P 1'
_cell_length_a 5.525
_cell_length_b 8.211
_cell_length_c 8.898
_cell_angle_alpha 94.37
_cell_angle_beta 101.95
_cell_angle_gamma 105.79
loop_
_atom_site_label
_atom_site_fract_x
_atom_site_fract_y
_atom_site_fract_z
Cs1 0.196 0.309 0.137
Cs2 0.804 0.691 0.863
H1 0.181 0.882 0.352
H2 0.819 0.118 0.648
S1 0.156 0.308 0.616
S2 0.478 0.137 0.813
S3 0.522 0.863 0.187
S4 0.844 0.692 0.384
O1 0.093 0.844 0.440
O2 0.157 0.403 0.759
O3 0.200 0.394 0.485
O4 0.242 0.033 0.844
O5 0.359 0.957 0.242
O6 0.380 0.714 0.072
O7 0.387 0.219 0.646
O8 0.613 0.781 0.354
O9 0.620 0.286 0.928
O10 0.641 0.043 0.758
O11 0.758 0.967 0.156
O12 0.800 0.606 0.515
O13 0.843 0.597 0.241
O14 0.907 0.156 0.560
```

Largest 10 diffraction maxima, most intense first, 2θ = 10–80°:
d [Å]	2θ/deg	Rel. int.	hkl
3.822	23.27	100	1 1 0
3.775	23.57	99	1 0 -2
3.568	24.95	54	0 1 2
3.685	24.15	48	1 -2 0
4.024	22.09	46	0 1 -2
5.049	17.57	39	1 -1 0
8.619	10.26	37	0 0 1
3.533	25.20	36	-1 1 2
3.911	22.74	36	0 2 0
2.604	34.45	34	1 2 -2